# Mg6CdW
Computed powder X-ray diffraction pattern, Cu Kα (λ = 1.5418 Å). Input: the GGA-PBE geometry in the Materials Project.
Kinematic intensities with the Lorentz-polarization factor, no thermal factor.

a = 4.8976 Å, b = 6.1905 Å, c = 10.7032 Å
α = 90.00°, β = 90.00°, γ = 90.00°
Space group Amm2 (No. 38)
Inequivalent atoms, fractional coordinates:
Mg 0.0000 0.0000 0.0000
Mg 0.0000 0.0000 0.4900
Mg 0.0000 0.2349 0.2352
Mg 0.5000 0.2473 0.9058
Cd 0.5000 0.0000 0.6570
W 0.5000 0.0000 0.1555

The 10 most intense peaks (2θ = 10–80°), in order of rising 2θ:
Position (°2θ)	I (rel.)	(hkl)
16.6	57	0 0 2
18.1	38	1 0 0
24.6	40	1 0 2
33.5	42	0 2 2
34.3	18	1 2 0
36.7	23	2 0 0
38.3	100	1 0 4
50.5	26	2 2 2
67.2	19	3 0 4
72.3	18	2 4 0